Theoretical powder X-ray diffraction pattern
Compound: NbTe5Pd
Radiation: Cu Ka
Structure: DFT lattice parameters and positions (GGA-PBE)

Peak list (10 most intense, 2θ from 15° to 90°, low angle first)
two_theta	I/Imax
26.2	24.9
29.4	27.9
31.1	54.7
31.4	35.0
32.0	100.0
37.4	59.2
40.2	31.9
42.3	62.3
48.4	29.5
77.0	20.7

Cell lengths 15.8556, 3.7600, 13.6053 Å; angles 90.00, 90.00, 90.00 degrees
Space group Pnma (No. 62)
Asymmetric unit:
Nb 0.1612 0.2500 0.2471 (multiplicity 4)
Te 0.0036 0.7500 0.8486 (multiplicity 4)
Te 0.0600 0.7500 0.3569 (multiplicity 4)
Te 0.1589 0.7500 0.0876 (multiplicity 4)
Te 0.1762 0.7500 0.6419 (multiplicity 4)
Te 0.2363 0.2500 0.8525 (multiplicity 4)
Pd 0.0891 0.2500 0.7453 (multiplicity 4)


Theoretical powder X-ray diffraction pattern
Compound: AcCdP2Pd5
Radiation: Cu Ka
Structure: DFT lattice parameters and positions (GGA-PBE)

Peak list (10 most intense, 2θ from 15° to 90°, low angle first)
two_theta	I/Imax
28.3	29.4
29.5	44.4
30.7	28.6
34.6	100.0
39.5	63.9
50.5	17.7
50.8	27.9
57.0	21.4
60.3	14.6
68.4	27.1

Cell lengths 4.5668, 4.5668, 8.7261 Å; angles 90.00, 90.00, 90.00 degrees
Space group P4/mmm (No. 123)
Asymmetric unit:
Ac 0.0000 0.0000 0.0000 (multiplicity 1)
Cd 0.0000 0.0000 0.5000 (multiplicity 1)
P 0.5000 0.5000 0.2650 (multiplicity 2)
Pd 0.0000 0.5000 0.3124 (multiplicity 4)
Pd 0.5000 0.5000 0.0000 (multiplicity 1)


Theoretical powder X-ray diffraction pattern
Compound: Mg2InTcO6
Radiation: Cu Ka
Structure: DFT lattice parameters and positions (GGA-PBE)

Peak list (10 most intense, 2θ from 15° to 90°, low angle first)
two_theta	I/Imax
23.1	100.0
31.9	74.0
34.0	55.5
39.1	10.9
41.5	17.5
47.3	29.7
51.9	42.9
54.7	16.5
59.5	27.4
60.8	22.9

Cell lengths 5.2786, 5.2786, 14.1958 Å; angles 90.00, 90.00, 120.00 degrees
Space group R3 (No. 146, hexagonal axes)
Asymmetric unit:
Mg 0.0000 0.0000 0.0000 (multiplicity 3)
Mg 0.0000 0.0000 0.4962 (multiplicity 3)
In 0.0000 0.0000 0.2846 (multiplicity 3)
Tc 0.0000 0.0000 0.7954 (multiplicity 3)
O 0.0035 0.3587 0.0624 (multiplicity 9)
O 0.0493 0.6779 0.5561 (multiplicity 9)


Theoretical powder X-ray diffraction pattern
Compound: Tc2SnPbO8
Radiation: Cu Ka
Structure: DFT lattice parameters and positions (GGA-PBE)

Peak list (10 most intense, 2θ from 15° to 90°, low angle first)
two_theta	I/Imax
16.2	55.0
22.9	100.0
26.1	40.8
27.9	63.7
30.2	94.1
31.6	65.1
32.4	20.9
45.5	24.2
50.9	28.9
53.8	25.6

Cell lengths 12.1112, 6.3845, 5.4964 Å; angles 90.00, 93.23, 90.00 degrees
Space group C2/m (No. 12)
Asymmetric unit:
Tc 0.1794 0.0000 0.0980 (multiplicity 4)
Sn 0.0000 0.0000 0.5000 (multiplicity 2)
Pb 0.0000 0.5000 0.0000 (multiplicity 2)
O 0.0930 0.1989 0.2574 (multiplicity 8)
O 0.1433 0.0000 0.7823 (multiplicity 4)
O 0.1826 0.5000 0.7918 (multiplicity 4)


Theoretical powder X-ray diffraction pattern
Compound: Nd5Zn2In
Radiation: Cu Ka
Structure: DFT lattice parameters and positions (GGA-PBE)

Peak list (10 most intense, 2θ from 15° to 90°, low angle first)
two_theta	I/Imax
26.3	15.6
28.1	24.1
30.9	100.0
32.5	57.9
34.5	13.6
36.6	48.0
48.5	12.0
51.6	15.1
52.7	13.0
55.4	17.8

Cell lengths 7.7697, 7.7697, 15.6050 Å; angles 90.00, 90.00, 90.00 degrees
Space group I4/mcm (No. 140)
Asymmetric unit:
Nd 0.0000 0.0000 0.0000 (multiplicity 4)
Nd 0.1657 0.3343 0.1479 (multiplicity 16)
Zn 0.1200 0.3800 0.5000 (multiplicity 8)
In 0.0000 0.0000 0.2500 (multiplicity 4)